# 1
The following is a simulated PXRD pattern of Rb3PrI8. It was derived from a crystal structure in Alexandria, relaxed with PBE, using a wavelength of 1.5418 Å.

Atomic structure:
Cell: 8.2306 8.2306 17.7887 Å, 90.00 90.00 90.00°
Space group I4/mmm (No. 139)
Unique sites:
Rb1 0.0000 0.0000 0.0000
Rb2 0.0000 0.5000 0.2500
Pr1 0.0000 0.0000 0.5000
I1 0.2287 0.2287 0.3880

Principal peaks in the range 2θ from 15° to 90°, low angle first:
(hkl), two_theta, intensity
1 1 2, 18.2, 31
2 0 0, 21.6, 20
2 0 4, 29.6, 100
2 2 0, 30.7, 46
2 2 8, 51.7, 15
4 2 4, 53.9, 31

=====

# 2
The following is a simulated PXRD pattern of Ta3As. It was derived from a crystal structure in Alexandria, relaxed with PBE, using a wavelength of 1.5418 Å.

Atomic structure:
Cell: 14.7883 5.1388 14.6404 Å, 90.00 90.67 90.00°
Space group C2/c (No. 15)
Unique sites:
Ta1 0.0487 0.2494 0.0058
Ta2 0.0667 0.4988 0.8295
Ta3 0.0742 0.0106 0.6770
Ta4 0.1587 0.2541 0.5043
Ta5 0.2424 0.2592 0.2978
Ta6 0.2473 0.2704 0.9092
As1 0.1008 0.0009 0.8588
As2 0.1136 0.4863 0.1561

Principal peaks in the range 2θ from 15° to 90°, low angle first:
(hkl), two_theta, intensity
5 1 1, 35.6, 38
1 1 -5, 35.8, 36
0 0 6, 36.8, 35
2 2 0, 37.1, 100
2 0 -6, 38.7, 36
5 1 -3, 39.5, 34

=====

# 3
The following is a simulated PXRD pattern of PmSmCuAu. It was derived from a crystal structure in Alexandria, relaxed with PBE, using a wavelength of 1.5418 Å.

Atomic structure:
Cell: 4.6396 3.8953 10.9251 Å, 90.00 90.00 90.00°
Space group Amm2 (No. 38)
Unique sites:
Pm1 0.0000 0.0000 0.0000
Sm1 0.5000 0.0000 0.2790
Cu1 0.5000 0.0000 0.5625
Au1 0.0000 0.0000 0.7156

Principal peaks in the range 2θ from 15° to 90°, low angle first:
(hkl), two_theta, intensity
1 1 1, 31.1, 100
0 0 4, 32.8, 24
0 1 3, 33.7, 30
1 0 4, 38.2, 27
2 0 0, 38.8, 32
1 1 3, 39.0, 67

=====

# 4
The following is a simulated PXRD pattern of TbMn4P12. It was derived from a crystal structure in Alexandria, relaxed with PBE, using a wavelength of 1.5418 Å.

Atomic structure:
Cell: 7.9233 7.9233 7.9233 Å, 90.00 90.00 90.00°
Space group Im-3 (No. 204)
Unique sites:
Tb1 0.0000 0.0000 0.0000
Mn1 0.2500 0.2500 0.2500
P1 0.0000 0.3523 0.1468

Principal peaks in the range 2θ from 15° to 90°, low angle first:
(hkl), two_theta, intensity
1 1 0, 15.8, 50
2 2 0, 31.9, 83
3 0 1, 35.8, 100
3 1 2, 42.7, 75
4 2 2, 56.9, 57
4 3 1, 59.5, 47

=====

# 5
The following is a simulated PXRD pattern of Nd3Ga7Pt2. It was derived from a crystal structure in Alexandria, relaxed with PBE, using a wavelength of 1.5418 Å.

Atomic structure:
Cell: 4.3368 4.3375 13.5332 Å, 90.00 99.17 90.00°
Space group P2/m (No. 10)
Unique sites:
Nd1 0.0000 0.0000 0.0000
Nd2 0.3181 0.5000 0.6390
Ga1 0.0840 0.5000 0.1656
Ga2 0.2247 0.0000 0.4496
Ga3 0.4181 0.0000 0.8349
Ga4 0.5000 0.5000 0.0000
Pt1 0.1308 0.0000 0.2632

Principal peaks in the range 2θ from 15° to 90°, low angle first:
(hkl), two_theta, intensity
1 1 -1, 29.3, 39
1 1 -2, 30.8, 48
1 1 2, 33.7, 73
0 1 4, 33.9, 56
1 1 -4, 37.6, 65
0 2 0, 41.6, 100

=====

# 6
The following is a simulated PXRD pattern of MnGe3Pd. It was derived from a crystal structure in Alexandria, relaxed with PBE, using a wavelength of 1.5418 Å.

Atomic structure:
Cell: 4.5205 4.5205 4.5205 Å, 90.00 90.00 90.00°
Space group Pm-3m (No. 221)
Unique sites:
Mn1 0.0000 0.0000 0.0000
Ge1 0.0000 0.0000 0.5000
Pd1 0.5000 0.5000 0.5000

Principal peaks in the range 2θ from 15° to 90°, low angle first:
(hkl), two_theta, intensity
1 1 0, 27.9, 27
1 1 1, 34.4, 100
2 0 0, 39.9, 97
2 2 0, 57.7, 64
3 1 1, 68.9, 39
2 2 2, 72.4, 21

=====

# 7
The following is a simulated PXRD pattern of Rb3MoCl6. It was derived from a crystal structure in Alexandria, relaxed with PBE, using a wavelength of 1.5418 Å.

Atomic structure:
Cell: 11.0972 11.0972 11.0972 Å, 90.00 90.00 90.00°
Space group Fm-3m (No. 225)
Unique sites:
Rb1 0.0000 0.0000 0.0000
Rb2 0.2500 0.2500 0.2500
Mo1 0.0000 0.0000 0.5000
Cl1 0.0000 0.0000 0.2785

Principal peaks in the range 2θ from 15° to 90°, low angle first:
(hkl), two_theta, intensity
2 2 0, 22.7, 100
4 0 0, 32.3, 73
4 2 2, 39.8, 41
4 4 0, 46.3, 47
6 2 0, 52.1, 26
6 4 2, 62.6, 27

=====

# 8
The following is a simulated PXRD pattern of LiMg2Pt5. It was derived from a crystal structure in Alexandria, relaxed with PBE, using a wavelength of 1.5418 Å.

Atomic structure:
Cell: 5.6690 5.6690 7.6122 Å, 90.00 90.00 90.00°
Space group I4/mmm (No. 139)
Unique sites:
Li1 0.0000 0.0000 0.0000
Mg1 0.0000 0.5000 0.0000
Pt1 0.0000 0.0000 0.5000
Pt2 0.2500 0.2500 0.2500

Principal peaks in the range 2θ from 15° to 90°, low angle first:
(hkl), two_theta, intensity
0 0 2, 23.4, 25
2 0 0, 31.6, 24
2 0 2, 39.6, 100
2 2 0, 45.2, 35
2 2 4, 67.9, 21
4 2 2, 79.7, 27